For NaSmHg4, a GGA-PBE-relaxed structure gives the computed powder diffraction line list in this record (Cu Kα, 1.54184 Å).

```
12
Lattice="5.012 0.000 0.000 0.000 8.681 0.000 -0.024 0.000 6.943" Properties=species:S:1:pos:R:3 pbc="T T T"
Na 0.000 0.000 0.000
Na 2.506 4.341 0.000
Sm -0.012 0.000 3.472
Sm 2.494 4.341 3.472
Hg -0.013 2.891 5.166
Hg -0.013 5.790 5.166
Hg 2.495 1.449 1.778
Hg 2.495 7.232 1.778
Hg 2.494 1.449 5.166
Hg 2.494 7.232 5.166
Hg 5.001 2.891 1.778
Hg 5.001 5.790 1.778
```

Most intense lines, 2θ from 10° to 90°, in order of falling intensity:
| 2theta | d [Å] | I_rel |
| --- | --- | --- |
| 35.8 | 2.506 | 100 |
| 33.0 | 2.711 | 86 |
| 25.7 | 3.472 | 32 |
| 44.5 | 2.034 | 23 |
| 44.6 | 2.030 | 23 |
| 20.5 | 4.341 | 21 |
| 64.4 | 1.447 | 18 |
| 49.5 | 1.842 | 18 |

***

For SmHfPd2, a GGA-PBE-relaxed structure gives the computed powder diffraction line list in this record (Cu Kα, 1.54184 Å).

```
4
Lattice="3.344 0.000 0.000 0.000 3.344 0.000 0.000 0.000 7.393" Properties=species:S:1:pos:R:3 pbc="T T T"
Sm 0.000 0.000 0.000
Hf 0.000 0.000 3.697
Pd 1.672 1.672 2.182
Pd 1.672 1.672 5.212
```

Most intense lines, 2θ from 10° to 90°, in order of falling intensity:
| 2theta | d [Å] | I_rel |
| --- | --- | --- |
| 36.2 | 2.480 | 100 |
| 38.1 | 2.364 | 50 |
| 67.6 | 1.386 | 32 |
| 54.9 | 1.672 | 17 |
| 63.9 | 1.456 | 13 |
| 12.0 | 7.393 | 10 |
| 76.9 | 1.240 | 8 |
| 45.7 | 1.984 | 7 |

***

For KCoHg2, a GGA-PBE-relaxed structure gives the computed powder diffraction line list in this record (Cu Kα, 1.54184 Å).

```
4
Lattice="3.258 0.000 0.000 0.000 4.193 0.000 0.000 0.000 7.753" Properties=species:S:1:pos:R:3 pbc="T T T"
K 0.000 0.000 0.000
Co 0.000 2.097 4.618
Hg 1.629 0.000 4.764
Hg 1.629 2.097 2.371
```

Most intense lines, 2θ from 10° to 90°, in order of falling intensity:
| 2theta | d [Å] | I_rel |
| --- | --- | --- |
| 11.4 | 7.753 | 100 |
| 36.8 | 2.442 | 77 |
| 42.2 | 2.144 | 60 |
| 24.1 | 3.688 | 58 |
| 31.4 | 2.847 | 42 |
| 34.7 | 2.584 | 32 |
| 56.5 | 1.628 | 25 |
| 27.4 | 3.258 | 23 |

***

For GaNiIr, a GGA-PBE-relaxed structure gives the computed powder diffraction line list in this record (Cu Kα, 1.54184 Å).

```
6
Lattice="4.410 0.000 0.000 2.195 4.117 0.000 1.397 1.448 4.404" Properties=species:S:1:pos:R:3 pbc="T T T"
Ga 0.000 0.000 0.000
Ga 4.403 4.053 2.253
Ni 3.610 2.661 4.269
Ni 4.389 1.195 2.372
Ir 2.207 2.618 2.064
Ir 4.391 2.596 0.143
```

Most intense lines, 2θ from 10° to 90°, in order of falling intensity:
| 2theta | d [Å] | I_rel |
| --- | --- | --- |
| 41.0 | 2.202 | 100 |
| 42.5 | 2.125 | 90 |
| 42.0 | 2.152 | 89 |
| 41.6 | 2.169 | 79 |
| 45.7 | 1.987 | 78 |
| 46.2 | 1.964 | 71 |
| 22.7 | 3.911 | 51 |
| 53.7 | 1.706 | 37 |

***

For Nd2Ho2Se2S3, a GGA-PBE-relaxed structure gives the computed powder diffraction line list in this record (Cu Kα, 1.54184 Å).

```
9
Lattice="-2.689 2.689 7.565 2.689 -2.689 7.565 2.689 2.689 -7.565" Properties=species:S:1:pos:R:3 pbc="T T T"
Nd 0.000 0.000 3.019
Nd 0.000 0.000 12.111
Ho 2.689 0.000 0.000
Ho 0.000 2.689 0.000
Se 0.000 0.000 6.027
Se 0.000 0.000 9.103
S 0.000 0.000 0.000
S 2.689 0.000 3.783
S 0.000 2.689 3.783
```

Most intense lines, 2θ from 10° to 90°, in order of falling intensity:
| 2theta | d [Å] | I_rel |
| --- | --- | --- |
| 33.4 | 2.687 | 100 |
| 26.2 | 3.397 | 56 |
| 34.0 | 2.637 | 40 |
| 48.3 | 1.883 | 29 |
| 47.8 | 1.901 | 25 |
| 23.5 | 3.783 | 16 |
| 55.4 | 1.659 | 15 |
| 41.2 | 2.192 | 14 |

***

For CaDy12Ho5, a GGA-PBE-relaxed structure gives the computed powder diffraction line list in this record (Cu Kα, 1.54184 Å).

```
18
Lattice="9.219 -5.326 0.000 9.219 5.326 0.000 -2.034 0.000 5.801" Properties=species:S:1:pos:R:3 pbc="T T T"
Ca 0.000 0.000 0.000
Dy 3.119 1.796 0.005
Dy 5.133 1.779 2.909
Dy 8.203 3.495 2.901
Dy 3.119 -1.796 0.005
Dy 9.219 1.723 0.000
Dy 11.272 1.779 2.893
Dy 5.133 -1.779 2.909
Dy 9.219 -1.723 0.000
Dy 13.286 1.796 5.796
Dy 8.203 -3.495 2.901
Dy 11.272 -1.779 2.893
Dy 13.286 -1.796 5.796
Ho 2.078 0.000 2.960
Ho 6.136 0.000 0.022
Ho 8.203 0.000 2.901
Ho 10.269 0.000 5.780
Ho 14.327 0.000 2.842
```

Most intense lines, 2θ from 10° to 90°, in order of falling intensity:
| 2theta | d [Å] | I_rel |
| --- | --- | --- |
| 30.8 | 2.899 | 100 |
| 35.8 | 2.511 | 51 |
| 51.5 | 1.776 | 24 |
| 61.2 | 1.515 | 21 |
| 84.0 | 1.152 | 15 |
| 61.3 | 1.512 | 14 |
| 64.3 | 1.450 | 12 |
| 51.5 | 1.775 | 12 |